Entry 1:
Sr4Zn3Si5: simulated powder X-ray diffraction pattern (CuKα), based on the PBE geometry in the Materials Project.
Neutral-atom scattering factors, no anomalous dispersion.

Most intense lines, 2θ = 10–80°, low angle first:
| h k l | 2θ/deg | Rel. int. |
| --- | --- | --- |
| 1 0 0 | 24.10 | 10 |
| 1 0 4 | 31.13 | 100 |
| 0 0 8 | 39.40 | 15 |
| 1 1 0 | 42.40 | 38 |
| 2 0 4 | 53.53 | 21 |
| 1 1 8 | 59.26 | 27 |
| 1 0 12 | 66.33 | 11 |
| 2 1 4 | 70.55 | 18 |

Crystal structure
a = 4.2636 Å, b = 4.2636 Å, c = 18.2946 Å
α = 90.00°, β = 90.00°, γ = 120.00°
Space group P-6m2 (No. 187)
One atom of each set of equivalent atoms:
Sr 0.0000 0.0000 0.1250 [2 per cell]
Sr 0.0000 0.0000 0.3737 [2 per cell]
Zn 0.3333 0.6667 0.0000 [1 per cell]
Zn 0.6667 0.3333 0.2509 [2 per cell]
Si 0.3333 0.6667 0.2489 [2 per cell]
Si 0.3333 0.6667 0.5000 [1 per cell]
Si 0.6667 0.3333 0.0000 [1 per cell]
Si 0.6667 0.3333 0.5000 [1 per cell]

***

Entry 2:
Ag5CF4: simulated powder X-ray diffraction pattern (CuKα), based on the PBE geometry in the Materials Project.
Neutral-atom scattering factors, no anomalous dispersion.

Most intense lines, 2θ = 10–80°, low angle first:
| h k l | 2θ/deg | Rel. int. |
| --- | --- | --- |
| 2 1 1 | 27.76 | 66 |
| 1 2 2 | 31.41 | 100 |
| 0 0 4 | 33.72 | 27 |
| 3 1 0 | 37.75 | 50 |
| 1 3 1 | 38.70 | 61 |
| 2 0 4 | 41.56 | 23 |
| 3 1 3 | 45.87 | 43 |
| 5 0 1 | 62.18 | 23 |

Crystal structure
a = 7.540 Å, b = 7.540 Å, c = 10.633 Å
α = 90.00°, β = 90.00°, γ = 90.00°
Space group P-4 (No. 81)
One atom of each set of equivalent atoms:
Ag 0.000 0.500 0.003 [2 per cell]
Ag 0.000 0.500 0.298 [2 per cell]
Ag 0.102 0.231 0.622 [4 per cell]
Ag 0.109 0.798 0.844 [4 per cell]
Ag 0.264 0.594 0.624 [4 per cell]
Ag 0.298 0.378 0.848 [4 per cell]
C 0.038 0.422 0.765 [4 per cell]
F 0.057 0.776 0.104 [4 per cell]
F 0.062 0.210 0.405 [4 per cell]
F 0.289 0.555 0.398 [4 per cell]
F 0.294 0.426 0.102 [4 per cell]